Diffraction record for Dy5HgTe2. The powder diffraction line list is computed, not measured: it uses the GGA-PBE geometry in Alexandria and λ = 1.5418 Å (Cu Kα).
Lines closer than 0.1° are merged.

Largest 8 diffraction maxima, in order of rising 2θ, 10° ≤ 2θ ≤ 80°:
2θ = 24.71°, I = 26, hkl 0 2 3
2θ = 29.85°, I = 67, hkl 2 0 0
2θ = 31.84°, I = 36, hkl 1 1 4
2θ = 33.07°, I = 100, hkl 1 3 3
2θ = 39.30°, I = 20, hkl 1 5 1
2θ = 41.16°, I = 18, hkl 0 0 6
2θ = 51.67°, I = 16, hkl 2 0 6
2θ = 55.07°, I = 25, hkl 3 3 3

a = 5.986 Å, b = 12.635 Å, c = 13.158 Å
α = 90.00°, β = 90.00°, γ = 90.00°
Space group Cmcm (No. 63)
Symmetry-distinct sites (fractional):
Dy (0.000, 0.053, 0.113)
Dy (0.000, 0.378, 0.750)
Dy (0.000, 0.383, 0.057)
Hg (0.000, 0.255, 0.250)
Te (0.000, 0.189, 0.590)



Diffraction record for CaNd2Sn9. The powder diffraction line list is computed, not measured: it uses the GGA-PBE geometry in Alexandria and λ = 1.5418 Å (Cu Kα).
Lines closer than 0.1° are merged.

Largest 8 diffraction maxima, in order of rising 2θ, 10° ≤ 2θ ≤ 80°:
2θ = 32.51°, I = 100, hkl 1 1 3
2θ = 37.15°, I = 35, hkl 2 0 0
2θ = 38.82°, I = 15, hkl 0 0 6
2θ = 53.55°, I = 13, hkl 2 2 0
2θ = 54.82°, I = 23, hkl 2 0 6
2θ = 64.06°, I = 29, hkl 3 1 3
2θ = 66.32°, I = 13, hkl 1 1 9
2θ = 68.08°, I = 12, hkl 2 2 6

a = 4.840 Å, b = 4.840 Å, c = 13.919 Å
α = 90.00°, β = 90.00°, γ = 90.00°
Space group P4/mmm (No. 123)
Symmetry-distinct sites (fractional):
Ca (0.000, 0.000, 0.000)
Nd (0.000, 0.000, 0.336)
Sn (0.000, 0.500, 0.165)
Sn (0.000, 0.500, 0.500)
Sn (0.500, 0.500, 0.000)
Sn (0.500, 0.500, 0.332)



Diffraction record for Zn2SnRh5. The powder diffraction line list is computed, not measured: it uses the GGA-PBE geometry in Alexandria and λ = 1.5418 Å (Cu Kα).
Lines closer than 0.1° are merged.

Largest 8 diffraction maxima, in order of rising 2θ, 10° ≤ 2θ ≤ 80°:
2θ = 33.61°, I = 4, hkl 1 1 2
2θ = 40.37°, I = 100, hkl 1 1 4
2θ = 44.52°, I = 38, hkl 2 0 0
2θ = 51.56°, I = 12, hkl 0 0 8
2θ = 59.99°, I = 2, hkl 2 0 6
2θ = 64.79°, I = 12, hkl 2 2 0
2θ = 70.45°, I = 18, hkl 2 0 8
2θ = 79.18°, I = 27, hkl 3 1 4

a = 4.070 Å, b = 4.070 Å, c = 14.181 Å
α = 90.00°, β = 90.00°, γ = 90.00°
Space group I4/mmm (No. 139)
Symmetry-distinct sites (fractional):
Zn (0.000, 0.000, 0.249)
Sn (0.000, 0.000, 0.500)
Rh (0.000, 0.000, 0.000)
Rh (0.000, 0.500, 0.131)



Diffraction record for Pu2Pa3Ga3. The powder diffraction line list is computed, not measured: it uses the GGA-PBE geometry in Alexandria and λ = 1.5418 Å (Cu Kα).
Lines closer than 0.1° are merged.

Largest 8 diffraction maxima, in order of rising 2θ, 10° ≤ 2θ ≤ 80°:
2θ = 19.70°, I = 22, hkl 1 1 0
2θ = 26.31°, I = 23, hkl 0 3 1
2θ = 32.91°, I = 18, hkl 1 4 0
2θ = 33.87°, I = 26, hkl 0 0 2
2θ = 34.57°, I = 100, hkl 1 4 -1
2θ = 36.56°, I = 51, hkl 2 0 -1
2θ = 37.53°, I = 21, hkl 2 0 0
2θ = 39.59°, I = 49, hkl 1 4 1

a = 4.993 Å, b = 13.226 Å, c = 5.513 Å
α = 90.00°, β = 106.31°, γ = 90.00°
Space group P2_1/m (No. 11)
Symmetry-distinct sites (fractional):
Pu (0.206, 0.134, 0.327)
Pa (0.312, 0.521, 0.741)
Pa (0.366, 0.250, 0.873)
Ga (0.169, 0.608, 0.207)
Ga (0.262, 0.750, 0.565)



Diffraction record for PmSm4Te7. The powder diffraction line list is computed, not measured: it uses the GGA-PBE geometry in Alexandria and λ = 1.5418 Å (Cu Kα).
Lines closer than 0.1° are merged.

Largest 8 diffraction maxima, in order of rising 2θ, 10° ≤ 2θ ≤ 80°:
2θ = 20.72°, I = 50, hkl 2 0 2
2θ = 26.65°, I = 57, hkl 2 0 3
2θ = 27.25°, I = 48, hkl 2 0 -4
2θ = 27.70°, I = 86, hkl 3 1 -1
2θ = 29.09°, I = 100, hkl 3 1 -2
2θ = 29.97°, I = 78, hkl 3 1 1
2θ = 36.39°, I = 53, hkl 1 1 4
2θ = 41.80°, I = 68, hkl 0 2 0

a = 14.598 Å, b = 4.321 Å, c = 13.405 Å
α = 90.00°, β = 104.25°, γ = 90.00°
Space group Cm (No. 8)
Symmetry-distinct sites (fractional):
Pm (0.000, 0.000, 0.000)
Sm (0.116, 0.000, 0.424)
Sm (0.231, 0.000, 0.847)
Sm (0.316, 0.500, 0.236)
Sm (0.415, 0.000, 0.611)
Te (0.077, 0.000, 0.640)
Te (0.115, 0.500, 0.922)
Te (0.154, 0.000, 0.208)
Te (0.277, 0.500, 0.472)
Te (0.357, 0.500, 0.772)
Te (0.372, 0.000, 0.074)
Te (0.455, 0.000, 0.376)



Diffraction record for TlGa2F6. The powder diffraction line list is computed, not measured: it uses the GGA-PBE geometry in Alexandria and λ = 1.5418 Å (Cu Kα).
Lines closer than 0.1° are merged.

Largest 8 diffraction maxima, in order of rising 2θ, 10° ≤ 2θ ≤ 80°:
2θ = 12.17°, I = 30, hkl 1 1 0
2θ = 23.76°, I = 93, hkl 1 1 1
2θ = 24.25°, I = 73, hkl 0 2 1
2θ = 25.31°, I = 100, hkl 3 1 -1
2θ = 27.33°, I = 34, hkl 3 1 0
2θ = 27.54°, I = 38, hkl 1 3 0
2θ = 30.44°, I = 29, hkl 2 0 -2
2θ = 50.04°, I = 37, hkl 2 2 -3

a = 11.541 Å, b = 10.234 Å, c = 5.888 Å
α = 90.00°, β = 116.49°, γ = 90.00°
Space group C2/c (No. 15)
Symmetry-distinct sites (fractional):
Tl (0.000, 0.172, 0.250)
Ga (0.211, 0.397, 0.920)
F (0.126, 0.043, 0.993)
F (0.138, 0.481, 0.579)
F (0.235, 0.227, 0.782)



Diffraction record for NdEr5Th2. The powder diffraction line list is computed, not measured: it uses the GGA-PBE geometry in Alexandria and λ = 1.5418 Å (Cu Kα).
Lines closer than 0.1° are merged.

Largest 8 diffraction maxima, in order of rising 2θ, 10° ≤ 2θ ≤ 80°:
2θ = 30.86°, I = 100, hkl 4 2 0
2θ = 35.52°, I = 34, hkl 4 0 1
2θ = 36.31°, I = 16, hkl 0 4 0
2θ = 51.10°, I = 12, hkl 0 0 2
2θ = 51.70°, I = 24, hkl 4 4 1
2θ = 60.88°, I = 22, hkl 4 2 2
2θ = 61.96°, I = 14, hkl 4 6 0
2θ = 64.29°, I = 12, hkl 0 4 2

a = 14.290 Å, b = 9.897 Å, c = 3.577 Å
α = 90.00°, β = 90.07°, γ = 90.00°
Space group C2/m (No. 12)
Symmetry-distinct sites (fractional):
Nd (0.000, 0.000, 0.000)
Er (0.000, 0.500, 0.000)
Er (0.127, 0.252, 0.500)
Th (0.249, 0.500, 0.000)



Diffraction record for Tb2Sm2Tl. The powder diffraction line list is computed, not measured: it uses the GGA-PBE geometry in Alexandria and λ = 1.5418 Å (Cu Kα).
Lines closer than 0.1° are merged.

Largest 8 diffraction maxima, in order of rising 2θ, 10° ≤ 2θ ≤ 80°:
2θ = 29.91°, I = 93, hkl 2 2 0
2θ = 30.75°, I = 99, hkl 1 3 -1
2θ = 31.68°, I = 92, hkl 1 1 2
2θ = 32.26°, I = 100, hkl 2 0 -3
2θ = 33.04°, I = 80, hkl 3 1 -1
2θ = 35.20°, I = 92, hkl 1 3 -2
2θ = 35.80°, I = 37, hkl 2 2 1
2θ = 57.59°, I = 29, hkl 1 5 2

a = 8.548 Å, b = 9.516 Å, c = 8.588 Å
α = 90.00°, β = 116.22°, γ = 90.00°
Space group C2/m (No. 12)
Symmetry-distinct sites (fractional):
Tb (0.071, 0.184, 0.216)
Sm (0.159, 0.500, 0.926)
Sm (0.221, 0.000, 0.615)
Tl (0.000, 0.331, 0.500)



Question: Which formula does entry 2 have?
Answer: CaNd2Sn9